Entry 1:
Starting from a PBE-relaxed structure, the powder diffraction line list of K2NaNbO4 was calculated for Cu Kα (λ = 1.5418 Å).
Intensities are scaled so that the largest is 100.

Largest 10 diffraction maxima, low angle first, 2θ = 15–90°:
hkl 1 0 1, 4.930 Å, rel. 44; hkl 0 0 2, 4.340 Å, rel. 8; hkl 1 1 0, 4.236 Å, rel. 18; hkl 1 1 2, 3.031 Å, rel. 100; hkl 2 0 0, 2.996 Å, rel. 27; hkl 1 2 1, 2.560 Å, rel. 9; hkl 2 2 0, 2.118 Å, rel. 20; hkl 2 0 4, 1.757 Å, rel. 24; hkl 1 3 2, 1.736 Å, rel. 32; hkl 2 2 4, 1.516 Å, rel. 8

Crystal structure
abc: 5.991 5.991 8.679
angles: 90.00 90.00 90.00
Space group I-4 (No. 82)
One atom of each set of equivalent atoms:
1 K 0.000 0.000 0.000 [2 per cell]
2 K 0.000 0.500 0.250 [2 per cell]
3 Na 0.000 0.000 0.500 [2 per cell]
4 Nb 0.000 0.500 0.750 [2 per cell]
5 O 0.162 0.707 0.631 [8 per cell]



Entry 2:
Starting from a PBE-relaxed structure, the powder diffraction line list of TmBe4Ni4 was calculated for Cu Kα (λ = 1.5418 Å).
Intensities are scaled so that the largest is 100.

Largest 10 diffraction maxima, low angle first, 2θ = 15–90°:
hkl 2 0 0, 3.600 Å, rel. 32; hkl 1 0 1, 3.570 Å, rel. 73; hkl 2 2 0, 2.546 Å, rel. 16; hkl 2 1 1, 2.535 Å, rel. 100; hkl 3 1 0, 2.277 Å, rel. 73; hkl 3 0 1, 2.073 Å, rel. 18; hkl 1 0 2, 1.977 Å, rel. 16; hkl 2 3 1, 1.796 Å, rel. 40; hkl 3 1 2, 1.526 Å, rel. 22; hkl 4 4 0, 1.272 Å, rel. 21

Crystal structure
abc: 7.200 7.200 4.111
angles: 90.00 90.00 90.00
Space group P4_2/n (No. 86, origin choice 2)
One atom of each set of equivalent atoms:
1 Tm 0.250 0.250 0.250 [2 per cell]
2 Be 0.050 0.906 0.169 [8 per cell]
3 Ni 0.124 0.872 0.656 [8 per cell]



Entry 3:
Starting from a PBE-relaxed structure, the powder diffraction line list of AlSn3Se2ClO8 was calculated for Cu Kα (λ = 1.5418 Å).
Intensities are scaled so that the largest is 100.

Largest 10 diffraction maxima, low angle first, 2θ = 15–90°:
hkl 0 0 2, 5.350 Å, rel. 24; hkl 1 2 0, 3.734 Å, rel. 100; hkl 1 1 2, 3.625 Å, rel. 65; hkl 2 0 0, 3.538 Å, rel. 40; hkl 1 0 -3, 3.399 Å, rel. 41; hkl 1 2 -2, 3.186 Å, rel. 64; hkl 1 2 2, 2.951 Å, rel. 32; hkl 2 2 -1, 2.751 Å, rel. 24; hkl 2 1 2, 2.635 Å, rel. 25; hkl 3 1 -1, 2.300 Å, rel. 30

Crystal structure
abc: 7.164 8.790 10.830
angles: 90.00 98.91 90.00
Space group P2_1 (No. 4)
One atom of each set of equivalent atoms:
1 Al 0.220 0.000 0.252 [2 per cell]
2 Sn 0.397 0.608 0.789 [2 per cell]
3 Sn 0.427 0.278 0.488 [2 per cell]
4 Sn 0.485 0.707 0.108 [2 per cell]
5 Se 0.030 0.467 0.531 [2 per cell]
6 Se 0.087 0.488 0.999 [2 per cell]
7 Cl 0.435 0.045 0.672 [2 per cell]
8 O 0.061 0.078 0.124 [2 per cell]
9 O 0.087 0.896 0.351 [2 per cell]
10 O 0.118 0.300 0.479 [2 per cell]
11 O 0.180 0.647 0.079 [2 per cell]
12 O 0.237 0.545 0.610 [2 per cell]
13 O 0.267 0.426 0.923 [2 per cell]
14 O 0.363 0.147 0.327 [2 per cell]
15 O 0.411 0.907 0.194 [2 per cell]



Entry 4:
Starting from a PBE-relaxed structure, the powder diffraction line list of Y2Mn17C3 was calculated for Cu Kα (λ = 1.5418 Å).
Intensities are scaled so that the largest is 100.

Largest 10 diffraction maxima, low angle first, 2θ = 15–90°:
hkl 1 1 2, 2.974 Å, rel. 27; hkl 3 0 0, 2.464 Å, rel. 32; hkl 2 0 3, 2.214 Å, rel. 53; hkl 2 2 0, 2.134 Å, rel. 91; hkl 3 0 2, 2.118 Å, rel. 100; hkl 0 0 4, 2.073 Å, rel. 44; hkl 2 1 3, 1.965 Å, rel. 21; hkl 2 2 2, 1.897 Å, rel. 44; hkl 4 1 2, 1.503 Å, rel. 20; hkl 2 2 4, 1.487 Å, rel. 20

Crystal structure
abc: 8.5359 8.5359 8.2920
angles: 90.00 90.00 120.00
Space group P6_3/mmc (No. 194)
One atom of each set of equivalent atoms:
1 Y 0.0000 0.0000 0.2500 [2 per cell]
2 Y 0.3333 0.6667 0.2500 [2 per cell]
3 Mn 0.0000 0.5000 0.0000 [6 per cell]
4 Mn 0.0596 0.3877 0.7500 [12 per cell]
5 Mn 0.1680 0.3359 0.0236 [12 per cell]
6 Mn 0.3333 0.6667 0.6075 [4 per cell]
7 C 0.1656 0.3312 0.2500 [6 per cell]



Entry 5:
Starting from a PBE-relaxed structure, the powder diffraction line list of RbP2OsO8 was calculated for Cu Kα (λ = 1.5418 Å).
Intensities are scaled so that the largest is 100.

Largest 10 diffraction maxima, low angle first, 2θ = 15–90°:
hkl 0 0 6, 4.457 Å, rel. 18; hkl 0 1 2, 4.038 Å, rel. 28; hkl 1 0 4, 3.578 Å, rel. 100; hkl 0 1 8, 2.624 Å, rel. 26; hkl 1 1 0, 2.446 Å, rel. 27; hkl 1 0 10, 2.261 Å, rel. 16; hkl 1 1 6, 2.144 Å, rel. 20; hkl 0 2 4, 2.019 Å, rel. 14; hkl 2 -1 12, 1.647 Å, rel. 14; hkl 3 -1 4, 1.557 Å, rel. 15

Crystal structure
abc: 4.8917 4.8917 26.7392
angles: 90.00 90.00 120.00
Space group R-3 (No. 148, hexagonal axes)
One atom of each set of equivalent atoms:
1 Rb 0.0000 0.0000 0.0000 [3 per cell]
2 P 0.0000 0.0000 0.2314 [6 per cell]
3 Os 0.0000 0.0000 0.5000 [3 per cell]
4 O 0.0000 0.0000 0.2874 [6 per cell]
5 O 0.0162 0.6267 0.8765 [18 per cell]



Entry 6:
Starting from a PBE-relaxed structure, the powder diffraction line list of Pm3ZrGe4 was calculated for Cu Kα (λ = 1.5418 Å).
Intensities are scaled so that the largest is 100.

Largest 10 diffraction maxima, low angle first, 2θ = 15–90°:
hkl 1 0 1, 4.348 Å, rel. 17; hkl 0 2 2, 3.100 Å, rel. 26; hkl 1 1 2, 3.011 Å, rel. 27; hkl 1 3 0, 2.775 Å, rel. 24; hkl 1 2 2, 2.661 Å, rel. 100; hkl 2 0 0, 2.592 Å, rel. 53; hkl 0 4 0, 2.463 Å, rel. 27; hkl 1 2 3, 2.133 Å, rel. 31; hkl 2 4 0, 1.786 Å, rel. 20; hkl 3 2 2, 1.510 Å, rel. 16

Crystal structure
abc: 5.185 9.853 7.979
angles: 90.00 90.00 90.00
Space group Pmmn (No. 59, origin choice 2)
One atom of each set of equivalent atoms:
1 Pm 0.250 0.043 0.180 [4 per cell]
2 Pm 0.250 0.750 0.447 [2 per cell]
3 Zr 0.250 0.250 0.823 [2 per cell]
4 Ge 0.250 0.034 0.617 [4 per cell]
5 Ge 0.250 0.250 0.431 [2 per cell]
6 Ge 0.250 0.750 0.028 [2 per cell]



Entry 7:
Starting from a PBE-relaxed structure, the powder diffraction line list of SnBiP2O8 was calculated for Cu Kα (λ = 1.5418 Å).
Intensities are scaled so that the largest is 100.

Largest 10 diffraction maxima, low angle first, 2θ = 15–90°:
hkl 0 1 2, 4.045 Å, rel. 47; hkl 1 0 4, 3.424 Å, rel. 100; hkl 1 1 0, 2.507 Å, rel. 40; hkl 0 1 8, 2.343 Å, rel. 32; hkl 2 0 2, 2.131 Å, rel. 13; hkl 1 1 6, 2.077 Å, rel. 36; hkl 0 2 4, 2.023 Å, rel. 21; hkl 3 -1 4, 1.574 Å, rel. 19; hkl 2 -1 12, 1.492 Å, rel. 23; hkl 3 -2 8, 1.414 Å, rel. 13

Crystal structure
abc: 5.0141 5.0141 22.2641
angles: 90.00 90.00 120.00
Space group R-3 (No. 148, hexagonal axes)
One atom of each set of equivalent atoms:
1 Sn 0.0000 0.0000 0.0000 [3 per cell]
2 Bi 0.0000 0.0000 0.5000 [3 per cell]
3 P 0.0000 0.0000 0.2524 [6 per cell]
4 O 0.0000 0.0000 0.3213 [6 per cell]
5 O 0.0162 0.3023 0.7705 [18 per cell]



Entry 8:
Starting from a PBE-relaxed structure, the powder diffraction line list of Li3Cd2PbO6 was calculated for Cu Kα (λ = 1.5418 Å).
Intensities are scaled so that the largest is 100.

Largest 10 diffraction maxima, low angle first, 2θ = 15–90°:
hkl 0 0 1, 5.090 Å, rel. 100; hkl 2 0 -1, 2.802 Å, rel. 24; hkl 1 3 0, 2.793 Å, rel. 47; hkl 2 0 0, 2.666 Å, rel. 43; hkl 2 0 -2, 2.289 Å, rel. 23; hkl 1 3 1, 2.277 Å, rel. 45; hkl 1 3 -2, 2.084 Å, rel. 21; hkl 0 6 0, 1.642 Å, rel. 23; hkl 1 3 -3, 1.587 Å, rel. 14; hkl 3 3 0, 1.561 Å, rel. 16

Crystal structure
abc: 5.695 9.843 5.443
angles: 90.00 110.76 90.00
Space group C2/m (No. 12)
One atom of each set of equivalent atoms:
1 Li 0.000 0.000 0.000 [2 per cell]
2 Li 0.000 0.332 0.000 [4 per cell]
3 Cd 0.000 0.167 0.500 [4 per cell]
4 Pb 0.000 0.500 0.500 [2 per cell]
5 O 0.234 0.500 0.250 [4 per cell]
6 O 0.244 0.341 0.755 [8 per cell]



Entry 9:
Starting from a PBE-relaxed structure, the powder diffraction line list of Ag2Sn2I2Br5 was calculated for Cu Kα (λ = 1.5418 Å).
Intensities are scaled so that the largest is 100.

Largest 10 diffraction maxima, low angle first, 2θ = 15–90°:
hkl 1 1 0, 4.106 Å, rel. 42; hkl 1 1 2, 3.900 Å, rel. 17; hkl 0 0 8, 3.116 Å, rel. 38; hkl 2 0 0, 2.904 Å, rel. 100; hkl 2 0 4, 2.632 Å, rel. 21; hkl 1 0 9, 2.500 Å, rel. 34; hkl 2 0 8, 2.124 Å, rel. 51; hkl 2 2 0, 2.053 Å, rel. 37; hkl 2 1 9, 1.894 Å, rel. 30; hkl 2 2 8, 1.714 Å, rel. 26

Crystal structure
abc: 5.807 5.807 24.928
angles: 90.00 90.00 90.00
Space group I4/mmm (No. 139)
One atom of each set of equivalent atoms:
1 Ag 0.000 0.000 0.149 [4 per cell]
2 Sn 0.000 0.000 0.387 [4 per cell]
3 I 0.000 0.000 0.260 [4 per cell]
4 Br 0.000 0.000 0.500 [2 per cell]
5 Br 0.000 0.500 0.117 [8 per cell]



Entry 10:
Starting from a PBE-relaxed structure, the powder diffraction line list of CePr10Tm6 was calculated for Cu Kα (λ = 1.5418 Å).
Intensities are scaled so that the largest is 100.

Largest 10 diffraction maxima, low angle first, 2θ = 15–90°:
hkl 2 0 1, 3.638 Å, rel. 5; hkl 3 -1 1, 2.928 Å, rel. 19; hkl 1 1 2, 2.843 Å, rel. 100; hkl 4 -2 2, 2.010 Å, rel. 15; hkl 3 2 1, 1.886 Å, rel. 7; hkl 4 1 2, 1.643 Å, rel. 15; hkl 2 -1 4, 1.637 Å, rel. 11; hkl 6 -1 1, 1.498 Å, rel. 6; hkl 2 2 4, 1.419 Å, rel. 4; hkl 5 -1 4, 1.270 Å, rel. 5

Crystal structure
abc: 9.8636 9.8636 6.9429
angles: 90.00 90.00 120.00
Space group P-31m (No. 162)
One atom of each set of equivalent atoms:
1 Ce 0.0000 0.0000 0.0000 [1 per cell]
2 Pr 0.0000 0.2773 0.3203 [6 per cell]
3 Pr 0.3333 0.6667 0.0000 [2 per cell]
4 Pr 0.3333 0.6667 0.5000 [2 per cell]
5 Tm 0.0000 0.3649 0.8190 [6 per cell]



Entry 11:
Starting from a PBE-relaxed structure, the powder diffraction line list of Er3Ru2 was calculated for Cu Kα (λ = 1.5418 Å).
Intensities are scaled so that the largest is 100.

Largest 10 diffraction maxima, low angle first, 2θ = 15–90°:
hkl 1 1 1, 2.939 Å, rel. 100; hkl 2 0 1, 2.681 Å, rel. 52; hkl 2 1 0, 2.474 Å, rel. 47; hkl 0 0 2, 2.338 Å, rel. 17; hkl 1 0 2, 2.202 Å, rel. 13; hkl 3 0 0, 2.184 Å, rel. 59; hkl 1 2 2, 1.699 Å, rel. 24; hkl 1 1 3, 1.441 Å, rel. 12; hkl 1 3 2, 1.434 Å, rel. 11; hkl 3 2 1, 1.429 Å, rel. 31

Crystal structure
abc: 7.5572 7.5572 4.6762
angles: 90.00 90.00 120.00
Space group P6_3/m (No. 176)
One atom of each set of equivalent atoms:
1 Er 0.0798 0.6948 0.2500 [6 per cell]
2 Ru 0.0000 0.0000 0.0000 [2 per cell]
3 Ru 0.3333 0.6667 0.7500 [2 per cell]